Record 1
The following is a simulated X-ray powder pattern of AcTbPrY2. It was derived from a structure optimized by DFT (PBE), using Cu Kα, 1.54184 Å.
Lines closer than 0.1° are merged.

Crystal structure
Cell lengths 6.588, 17.579, 6.497 Å; angles 90.00, 90.00, 90.00 degrees
Space group Cmcm (No. 63)
Unique sites:
Ac (0.000, 0.159, 0.250) (multiplicity 4)
Tb (0.000, 0.273, 0.750) (multiplicity 4)
Pr (0.000, 0.346, 0.250) (multiplicity 4)
Y (0.245, 0.500, 0.000) (multiplicity 8)

Top 12 peaks for 2θ from 10° to 90°, most intense first:
h k l  Position (°2θ)  intensity
1 5 1  31.97  100
2 2 0  28.95  66
2 0 2  38.94  65
0 2 2  29.31  64
1 3 1  24.50  50
1 1 1  19.85  31
3 5 1  51.01  27
1 5 3  51.46  27
0 6 0  30.51  22
2 6 2  50.26  22
2 0 0  27.07  20
1 7 1  40.89  19

Record 2
The following is a simulated X-ray powder pattern of Sr2U2O7. It was derived from a structure optimized by DFT (PBE), using Cu Kα, 1.54184 Å.
Lines closer than 0.1° are merged.

Crystal structure
Cell lengths 11.303, 11.303, 11.303 Å; angles 90.00, 90.00, 90.00 degrees
Space group Fd-3m (No. 227, origin choice 2)
Unique sites:
Sr (0.000, 0.000, 0.000) (multiplicity 16)
U (0.000, 0.000, 0.500) (multiplicity 16)
O (0.072, 0.375, 0.875) (multiplicity 48)
O (0.125, 0.125, 0.125) (multiplicity 8)

Top 12 peaks for 2θ from 10° to 90°, most intense first:
h k l  Position (°2θ)  intensity
2 2 2  27.33  100
6 2 2  53.80  47
4 4 0  45.39  46
4 0 0  31.66  37
1 1 1  13.57  28
3 1 1  26.15  20
6 6 2  72.97  20
8 4 0  75.18  17
8 4 4  83.86  14
4 4 4  56.40  12
8 0 0  66.14  7
3 3 3  41.51  7

Record 3
The following is a simulated X-ray powder pattern of CaLaY2Te4. It was derived from a structure optimized by DFT (PBE), using Cu Kα, 1.54184 Å.
Lines closer than 0.1° are merged.

Crystal structure
Cell lengths 7.719, 4.424, 7.740 Å; angles 90.00, 109.07, 90.00 degrees
Space group P2/m (No. 10)
Unique sites:
Ca (0.000, 0.000, 0.000) (multiplicity 1)
La (0.000, 0.500, 0.500) (multiplicity 1)
Y (0.500, 0.000, 0.500) (multiplicity 1)
Y (0.500, 0.500, 0.000) (multiplicity 1)
Te (0.258, 0.500, 0.248) (multiplicity 2)
Te (0.261, 0.000, 0.759) (multiplicity 2)

Top 12 peaks for 2θ from 10° to 90°, most intense first:
h k l  Position (°2θ)  intensity
1 1 1  28.34  100
1 1 -3  40.52  50
2 2 -2  50.42  13
2 0 2  40.22  13
0 2 0  40.79  12
2 2 2  58.64  12
0 2 4  66.33  11
4 2 0  66.45  11
1 3 -3  74.08  8
0 0 4  49.87  7
4 0 0  50.01  7
2 0 -6  73.39  6

Record 4
The following is a simulated X-ray powder pattern of PuUOsPt. It was derived from a structure optimized by DFT (PBE), using Cu Kα, 1.54184 Å.
Lines closer than 0.1° are merged.

Crystal structure
Cell lengths 6.863, 6.863, 6.863 Å; angles 90.00, 90.00, 90.00 degrees
Space group F-43m (No. 216)
Unique sites:
Pu (0.000, 0.000, 0.000) (multiplicity 4)
U (0.000, 0.000, 0.500) (multiplicity 4)
Os (0.250, 0.250, 0.750) (multiplicity 4)
Pt (0.250, 0.250, 0.250) (multiplicity 4)

Top 6 peaks for 2θ from 10° to 90°, most intense first:
h k l  Position (°2θ)  intensity
2 2 0  37.05  100
4 2 2  66.77  37
4 0 0  53.40  18
4 4 0  78.90  12
2 0 0  25.97  1
4 2 0  60.31  1

Record 5
The following is a simulated X-ray powder pattern of DyPaAu6. It was derived from a structure optimized by DFT (PBE), using Cu Kα, 1.54184 Å.
Lines closer than 0.1° are merged.

Crystal structure
Cell lengths 5.5268, 5.5268, 23.7280 Å; angles 90.00, 90.00, 120.00 degrees
Space group R-3m (No. 166, hexagonal axes)
Unique sites:
Dy (0.0000, 0.0000, 0.0000) (multiplicity 3)
Pa (0.0000, 0.0000, 0.5000) (multiplicity 3)
Au (0.0039, 0.5019, 0.4355) (multiplicity 18)

Top 12 peaks for 2θ from 10° to 90°, most intense first:
h k l  Position (°2θ)  intensity
2 0 2  38.37  100
0 2 1  37.78  96
0 0 3  11.19  94
1 1 6  39.79  58
2 2 0  67.79  57
0 1 8  35.61  51
0 2 7  46.45  46
1 0 4  23.89  42
1 0 1  18.91  34
0 0 9  34.00  30
0 2 16  75.40  24
0 0 6  22.48  23

Record 6
The following is a simulated X-ray powder pattern of PrMgSb2O6. It was derived from a structure optimized by DFT (PBE), using Cu Kα, 1.54184 Å.
Lines closer than 0.1° are merged.

Crystal structure
Cell lengths 7.974, 6.306, 5.699 Å; angles 90.00, 90.00, 90.00 degrees
Space group Pmn2_1 (No. 31)
Unique sites:
Pr (0.000, 0.171, 0.000) (multiplicity 2)
Mg (0.000, 0.716, 0.496) (multiplicity 2)
Sb (0.246, 0.719, 0.999) (multiplicity 4)
O (0.000, 0.359, 0.628) (multiplicity 2)
O (0.000, 0.806, 0.841) (multiplicity 2)
O (0.183, 0.879, 0.301) (multiplicity 4)
O (0.186, 0.439, 0.134) (multiplicity 4)

Top 12 peaks for 2θ from 10° to 90°, most intense first:
h k l  Position (°2θ)  intensity
2 1 1  30.83  100
2 1 3  55.53  28
0 0 2  31.39  26
0 2 0  28.31  24
1 0 1  19.14  19
0 2 2  42.77  17
0 2 1  32.45  14
4 0 0  45.50  12
2 3 1  51.71  12
4 0 2  56.32  11
1 1 0  17.93  11
4 2 2  64.22  9